1.
This entry pairs a crystal structure of HfZr3Ge2 with its theoretical X-ray diffraction stick pattern. Radiation: Cu Kα, 1.54184 Å. Structure: a GGA-PBE-relaxed structure.
Neutral-atom scattering factors, no anomalous dispersion.

Main lines, by angle (10 to 90 degrees two-theta):
Position (°2θ)	d_spacing	I (rel.)
33.19	2.699	10
34.37	2.609	100
38.44	2.342	27
42.92	2.107	35
43.14	2.097	24
60.06	1.540	20
65.89	1.418	13
69.11	1.359	9
69.31	1.356	9
85.43	1.136	9

Structure:
a = 6.663 Å, b = 5.437 Å, c = 5.423 Å
α = 75.70°, β = 52.25°, γ = 52.05°
Element x y z (fractional)
Hf 0.000 0.000 0.000
Zr 0.187 0.500 0.500
Zr 0.500 0.187 0.813
Zr 0.687 0.687 0.313
Ge 0.093 0.093 0.407
Ge 0.593 0.593 0.907


2.
This entry pairs a crystal structure of K2Hg3Ge2Se8 with its theoretical X-ray diffraction stick pattern. Radiation: Cu Kα, 1.54184 Å. Structure: a GGA-PBE-relaxed structure.
Neutral-atom scattering factors, no anomalous dispersion.

Main lines, by angle (10 to 90 degrees two-theta):
Position (°2θ)	d_spacing	I (rel.)
13.14	6.736	23
15.38	5.761	33
21.58	4.117	35
26.43	3.372	100
27.46	3.248	33
28.31	3.152	14
28.74	3.106	16
35.08	2.558	27
35.32	2.541	27
40.62	2.221	15

Structure:
a = 6.797 Å, b = 6.797 Å, c = 10.261 Å
α = 93.26°, β = 93.26°, γ = 82.85°
Element x y z (fractional)
K 0.218 0.218 0.232
K 0.782 0.782 0.768
Hg 0.214 0.786 0.500
Hg 0.366 0.634 0.000
Hg 0.694 0.306 0.500
Ge 0.277 0.256 0.729
Ge 0.744 0.723 0.271
Se 0.089 0.758 0.256
Se 0.114 0.385 0.538
Se 0.120 0.399 0.924
Se 0.242 0.911 0.744
Se 0.601 0.880 0.076
Se 0.615 0.886 0.462
Se 0.619 0.312 0.747
Se 0.688 0.381 0.253


3.
This entry pairs a crystal structure of KHg3GeSe4 with its theoretical X-ray diffraction stick pattern. Radiation: Cu Kα, 1.54184 Å. Structure: a GGA-PBE-relaxed structure.
Neutral-atom scattering factors, no anomalous dispersion.

Main lines, by angle (10 to 90 degrees two-theta):
Position (°2θ)	d_spacing	I (rel.)
13.01	6.806	48
22.63	3.929	98
26.19	3.403	21
37.37	2.406	100
44.13	2.052	50
53.88	1.701	16
59.17	1.561	20
67.41	1.389	32
72.11	1.310	15
84.15	1.150	15

Structure:
a = 6.806 Å, b = 6.806 Å, c = 6.806 Å
α = 90.00°, β = 90.00°, γ = 90.00°
Element x y z (fractional)
K 0.000 0.000 0.000
Hg 0.000 0.500 0.500
Hg 0.500 0.000 0.500
Hg 0.500 0.500 0.000
Ge 0.500 0.500 0.500
Se 0.274 0.274 0.274
Se 0.274 0.726 0.726
Se 0.726 0.274 0.726
Se 0.726 0.726 0.274


4.
This entry pairs a crystal structure of K2Hg3Ge2Se8 with its theoretical X-ray diffraction stick pattern. Radiation: Cu Kα, 1.54184 Å. Structure: a GGA-PBE-relaxed structure.
Neutral-atom scattering factors, no anomalous dispersion.

Main lines, by angle (10 to 90 degrees two-theta):
Position (°2θ)	d_spacing	I (rel.)
13.85	6.396	38
15.77	5.619	24
18.55	4.783	21
21.71	4.093	44
26.50	3.364	100
26.83	3.323	30
27.90	3.198	35
35.27	2.545	52
37.60	2.392	23
44.60	2.031	16

Structure:
a = 20.374 Å, b = 6.800 Å, c = 6.800 Å
α = 97.79°, β = 90.00°, γ = 90.00°
Element x y z (fractional)
K 0.118 0.205 0.795
K 0.382 0.705 0.295
K 0.618 0.295 0.705
K 0.882 0.795 0.205
Hg 0.000 0.357 0.357
Hg 0.243 0.652 0.746
Hg 0.257 0.152 0.246
Hg 0.500 0.857 0.857
Hg 0.743 0.246 0.152
Hg 0.757 0.746 0.652
Ge 0.134 0.719 0.295
Ge 0.366 0.219 0.795
Ge 0.634 0.795 0.219
Ge 0.866 0.295 0.719
Se 0.036 0.591 0.121
Se 0.121 0.674 0.637
Se 0.132 0.064 0.251
Se 0.229 0.564 0.151
Se 0.271 0.064 0.651
Se 0.368 0.564 0.751
Se 0.379 0.174 0.137
Se 0.464 0.091 0.621
Se 0.536 0.621 0.091
Se 0.621 0.137 0.174
Se 0.632 0.751 0.564
Se 0.729 0.651 0.064
Se 0.771 0.151 0.564
Se 0.868 0.251 0.064
Se 0.879 0.637 0.674
Se 0.964 0.121 0.591


5.
This entry pairs a crystal structure of Li4Zn2HgGe with its theoretical X-ray diffraction stick pattern. Radiation: Cu Kα, 1.54184 Å. Structure: a GGA-PBE-relaxed structure.
Neutral-atom scattering factors, no anomalous dispersion.

Main lines, by angle (10 to 90 degrees two-theta):
Position (°2θ)	d_spacing	I (rel.)
13.54	6.542	13
20.54	4.323	13
24.68	3.607	100
32.32	2.770	11
40.38	2.233	60
41.79	2.162	28
46.65	1.947	18
49.14	1.854	32
64.40	1.447	14
75.35	1.261	19

Structure:
a = 4.323 Å, b = 4.323 Å, c = 6.542 Å
α = 90.00°, β = 90.00°, γ = 90.00°
Element x y z (fractional)
Li 0.000 0.000 0.000
Li 0.000 0.500 0.239
Li 0.500 0.000 0.761
Li 0.500 0.500 0.500
Zn 0.000 0.500 0.764
Zn 0.500 0.000 0.236
Hg 0.000 0.000 0.500
Ge 0.500 0.500 0.000


6.
This entry pairs a crystal structure of NaHg3GeS4 with its theoretical X-ray diffraction stick pattern. Radiation: Cu Kα, 1.54184 Å. Structure: a GGA-PBE-relaxed structure.
Neutral-atom scattering factors, no anomalous dispersion.

Main lines, by angle (10 to 90 degrees two-theta):
Position (°2θ)	d_spacing	I (rel.)
15.24	5.813	59
21.28	4.176	43
22.88	3.887	49
25.66	3.471	100
26.85	3.320	53
27.92	3.195	39
29.38	3.040	39
30.77	2.906	59
36.81	2.442	77
45.75	1.983	29

Structure:
a = 6.983 Å, b = 7.007 Å, c = 10.684 Å
α = 90.00°, β = 102.95°, γ = 90.00°
Element x y z (fractional)
Na 0.044 0.250 0.159
Na 0.956 0.750 0.841
Hg 0.263 0.552 0.522
Hg 0.263 0.948 0.522
Hg 0.475 0.750 0.174
Hg 0.525 0.250 0.826
Hg 0.737 0.052 0.478
Hg 0.737 0.448 0.478
Ge 0.018 0.250 0.715
Ge 0.982 0.750 0.285
S 0.122 0.750 0.105
S 0.246 0.000 0.769
S 0.246 0.500 0.769
S 0.302 0.250 0.403
S 0.698 0.750 0.597
S 0.754 0.000 0.231
S 0.754 0.500 0.231
S 0.878 0.250 0.895


7.
This entry pairs a crystal structure of Hg2GeO4 with its theoretical X-ray diffraction stick pattern. Radiation: Cu Kα, 1.54184 Å. Structure: a GGA-PBE-relaxed structure.
Neutral-atom scattering factors, no anomalous dispersion.

Main lines, by angle (10 to 90 degrees two-theta):
Position (°2θ)	d_spacing	I (rel.)
20.35	4.363	65
31.49	2.841	100
32.01	2.796	23
34.83	2.576	14
37.34	2.408	24
42.89	2.109	22
49.98	1.825	14
51.98	1.759	29
60.37	1.533	16
63.71	1.461	26

Structure:
a = 4.817 Å, b = 4.817 Å, c = 10.302 Å
α = 90.00°, β = 90.00°, γ = 90.00°
Element x y z (fractional)
Hg 0.000 0.000 0.000
Hg 0.000 0.500 0.250
Hg 0.500 0.000 0.750
Hg 0.500 0.500 0.500
Ge 0.000 0.500 0.750
Ge 0.500 0.000 0.250
O 0.204 0.288 0.854
O 0.212 0.704 0.646
O 0.288 0.796 0.146
O 0.296 0.212 0.354
O 0.704 0.788 0.354
O 0.712 0.204 0.146
O 0.788 0.296 0.646
O 0.796 0.712 0.854


8.
This entry pairs a crystal structure of RbHg3GeS4 with its theoretical X-ray diffraction stick pattern. Radiation: Cu Kα, 1.54184 Å. Structure: a GGA-PBE-relaxed structure.
Neutral-atom scattering factors, no anomalous dispersion.

Main lines, by angle (10 to 90 degrees two-theta):
Position (°2θ)	d_spacing	I (rel.)
14.72	6.019	81
20.44	4.346	81
25.09	3.550	46
27.21	3.278	41
28.39	3.143	50
29.68	3.010	100
33.92	2.643	44
34.99	2.565	49
36.55	2.458	45
37.27	2.413	53

Structure:
a = 7.033 Å, b = 7.613 Å, c = 9.962 Å
α = 90.00°, β = 99.24°, γ = 90.00°
Element x y z (fractional)
Rb 0.185 0.250 0.123
Rb 0.815 0.750 0.877
Hg 0.226 0.556 0.509
Hg 0.226 0.944 0.509
Hg 0.465 0.250 0.744
Hg 0.535 0.750 0.256
Hg 0.774 0.056 0.491
Hg 0.774 0.444 0.491
Ge 0.020 0.750 0.282
Ge 0.980 0.250 0.718
S 0.186 0.018 0.776
S 0.186 0.482 0.776
S 0.213 0.750 0.121
S 0.393 0.250 0.473
S 0.607 0.750 0.527
S 0.787 0.250 0.879
S 0.814 0.518 0.224
S 0.814 0.982 0.224


9.
This entry pairs a crystal structure of Sc2Hg2Ge3 with its theoretical X-ray diffraction stick pattern. Radiation: Cu Kα, 1.54184 Å. Structure: a GGA-PBE-relaxed structure.
Neutral-atom scattering factors, no anomalous dispersion.

Main lines, by angle (10 to 90 degrees two-theta):
Position (°2θ)	d_spacing	I (rel.)
10.11	8.747	27
23.88	3.726	36
26.66	3.344	27
28.58	3.123	67
33.20	2.698	100
40.19	2.244	97
41.53	2.174	20
44.57	2.033	19
53.08	1.725	27
68.62	1.368	25

Structure:
a = 9.123 Å, b = 9.123 Å, c = 9.123 Å
α = 28.48°, β = 28.48°, γ = 28.48°
Element x y z (fractional)
Sc 0.000 0.000 0.000
Sc 0.475 0.475 0.475
Hg 0.185 0.185 0.185
Hg 0.749 0.749 0.749
Ge 0.366 0.366 0.366
Ge 0.604 0.604 0.604
Ge 0.894 0.894 0.894


10.
This entry pairs a crystal structure of HgGeSe3 with its theoretical X-ray diffraction stick pattern. Radiation: Cu Kα, 1.54184 Å. Structure: a GGA-PBE-relaxed structure.
Neutral-atom scattering factors, no anomalous dispersion.

Main lines, by angle (10 to 90 degrees two-theta):
Position (°2θ)	d_spacing	I (rel.)
25.25	3.527	100
29.70	3.008	32
31.06	2.879	72
36.02	2.493	90
44.50	2.036	85
51.86	1.763	41
55.25	1.663	21
58.52	1.577	29
70.68	1.333	48
87.48	1.115	21

Structure:
a = 7.051 Å, b = 7.051 Å, c = 7.051 Å
α = 119.98°, β = 119.98°, γ = 90.04°
Element x y z (fractional)
Hg 0.250 0.750 0.500
Hg 0.750 0.250 0.500
Ge 0.000 0.000 0.000
Ge 0.500 0.500 0.000
Se 0.161 0.661 0.823
Se 0.250 0.250 0.000
Se 0.339 0.161 0.500
Se 0.661 0.839 0.500
Se 0.750 0.750 0.000
Se 0.839 0.339 0.177


11.
This entry pairs a crystal structure of TlHg3GeSe4 with its theoretical X-ray diffraction stick pattern. Radiation: Cu Kα, 1.54184 Å. Structure: a GGA-PBE-relaxed structure.
Neutral-atom scattering factors, no anomalous dispersion.

Main lines, by angle (10 to 90 degrees two-theta):
Position (°2θ)	d_spacing	I (rel.)
19.51	4.550	54
23.58	3.774	77
24.79	3.591	100
25.77	3.457	36
25.90	3.440	71
28.60	3.121	49
30.62	2.920	61
36.48	2.463	57
41.75	2.164	45
43.16	2.096	45

Structure:
a = 7.185 Å, b = 7.259 Å, c = 10.792 Å
α = 90.00°, β = 92.89°, γ = 90.00°
Element x y z (fractional)
Tl 0.148 0.250 0.116
Tl 0.852 0.750 0.884
Hg 0.262 0.556 0.515
Hg 0.262 0.944 0.515
Hg 0.441 0.250 0.817
Hg 0.559 0.750 0.183
Hg 0.738 0.056 0.485
Hg 0.738 0.444 0.485
Ge 0.043 0.750 0.291
Ge 0.957 0.250 0.709
Se 0.178 0.509 0.762
Se 0.178 0.991 0.762
Se 0.221 0.750 0.100
Se 0.329 0.250 0.391
Se 0.671 0.750 0.609
Se 0.779 0.250 0.900
Se 0.822 0.009 0.238
Se 0.822 0.491 0.238


12.
This entry pairs a crystal structure of Ho3Ge5 with its theoretical X-ray diffraction stick pattern. Radiation: Cu Kα, 1.54184 Å. Structure: a GGA-PBE-relaxed structure.
Neutral-atom scattering factors, no anomalous dispersion.

Main lines, by angle (10 to 90 degrees two-theta):
Position (°2θ)	d_spacing	I (rel.)
25.97	3.431	11
29.40	3.038	42
33.82	2.650	100
39.63	2.274	43
44.60	2.032	37
51.78	1.766	16
54.32	1.689	11
61.16	1.515	20
64.90	1.437	10
70.68	1.333	14

Structure:
a = 11.021 Å, b = 7.438 Å, c = 9.091 Å
α = 82.99°, β = 42.05°, γ = 54.95°
Element x y z (fractional)
Ho 0.000 0.000 0.000
Ho 0.250 0.250 0.250
Ho 0.311 0.674 0.352
Ho 0.587 0.898 0.576
Ho 0.674 0.311 0.663
Ho 0.898 0.587 0.939
Ge 0.072 0.753 0.255
Ge 0.220 0.471 0.911
Ge 0.330 0.995 0.497
Ge 0.339 0.852 0.030
Ge 0.471 0.220 0.398
Ge 0.547 0.547 0.453
Ge 0.753 0.072 0.920
Ge 0.797 0.797 0.703
Ge 0.852 0.339 0.779
Ge 0.995 0.330 0.178


13.
This entry pairs a crystal structure of Ho4GeI5 with its theoretical X-ray diffraction stick pattern. Radiation: Cu Kα, 1.54184 Å. Structure: a GGA-PBE-relaxed structure.
Neutral-atom scattering factors, no anomalous dispersion.

Main lines, by angle (10 to 90 degrees two-theta):
Position (°2θ)	d_spacing	I (rel.)
10.36	8.539	31
28.83	3.096	49
28.95	3.084	12
29.50	3.028	100
32.18	2.781	14
41.24	2.189	17
41.60	2.171	34
41.85	2.159	33
43.17	2.095	19
52.75	1.735	18

Structure:
a = 9.754 Å, b = 9.754 Å, c = 8.757 Å
α = 102.52°, β = 102.52°, γ = 24.81°
Element x y z (fractional)
Ho 0.000 0.000 0.211
Ho 0.000 0.000 0.789
Ho 0.354 0.354 0.926
Ho 0.646 0.646 0.074
Ge 0.500 0.500 0.000
I 0.167 0.167 0.336
I 0.171 0.171 0.830
I 0.500 0.500 0.500
I 0.829 0.829 0.170
I 0.833 0.833 0.664